Diffraction record for Dy3YHo8. The powder XRD pattern is calculated, not measured: it uses a crystal structure in Alexandria, relaxed with PBE and Cu Kα (λ = 1.5418 Å).
Neutral-atom scattering factors, no anomalous dispersion.

Largest 10 diffraction maxima, sorted by position, 2θ = 5–70°:
Position (°2θ)	d [Å]	I/Imax
20.1	4.421	22
23.2	3.828	19
33.1	2.707	100
39.0	2.309	12
40.8	2.210	6
47.5	1.914	18
52.1	1.757	5
53.5	1.712	8
59.1	1.563	38
69.4	1.354	12

Crystal structure
```
Dy3YHo8
1.0
-3.827 3.827 7.663
3.827 -3.827 7.663
3.827 3.827 -7.663
Dy Y Ho
3 1 8
direct
0.000 0.000 0.000
0.250 0.750 0.500
0.750 0.250 0.500
0.500 0.500 0.000
0.123 0.123 0.498
0.123 0.625 0.000
0.375 0.375 0.498
0.375 0.877 0.000
0.625 0.123 0.000
0.625 0.625 0.502
0.877 0.375 0.000
0.877 0.877 0.502
```